# LaCeRu2
Calculated X-ray powder pattern, Cu Kα (λ = 1.5418 Å). Input: a DFT-relaxed cell (PBE, Alexandria).
Peak positions follow from Bragg's law for the DFT cell and can differ from measured ones.

Principal peaks in the range 2θ = 10–90°, most intense first:
2θ 34.10, I 1000, hkl 2 0 1; 2θ 39.87, I 974, hkl 0 2 2; 2θ 28.19, I 613, hkl 1 0 2; 2θ 30.01, I 596, hkl 1 1 1; 2θ 58.31, I 353, hkl 2 0 4; 2θ 50.29, I 329, hkl 3 0 1; 2θ 38.69, I 319, hkl 0 1 3; 2θ 44.42, I 296, hkl 2 1 1; 2θ 27.61, I 294, hkl 1 1 0; 2θ 36.34, I 285, hkl 1 1 2

Structure:
Lattice parameters (Å, degrees): 6.4623 6.4623 7.6769 90.00 90.00 120.00
Space group P3_121 (No. 152)
Inequivalent atoms, fractional coordinates:
La: 0.0000 0.6156 0.1667
Ce: 0.0000 0.7850 0.6667
Ru: 0.1554 0.4728 0.8181

---

# Cd2In6Hg5
Calculated X-ray powder pattern, Cu Kα (λ = 1.5418 Å). Input: a DFT-relaxed cell (PBE, Alexandria).
Peak positions follow from Bragg's law for the DFT cell and can differ from measured ones.

Principal peaks in the range 2θ = 10–90°, most intense first:
2θ 32.00, I 1000, hkl -1 2 1; 2θ 33.21, I 604, hkl 1 1 -2; 2θ 31.76, I 592, hkl 1 2 1; 2θ 33.34, I 563, hkl 1 -1 2; 2θ 34.56, I 537, hkl 1 0 -3; 2θ 38.82, I 510, hkl 0 1 5; 2θ 33.46, I 502, hkl 1 1 3; 2θ 49.13, I 437, hkl 2 0 0; 2θ 20.69, I 420, hkl 0 2 1; 2θ 33.56, I 415, hkl -1 1 3

Structure:
Lattice parameters (Å, degrees): 3.709 8.589 11.642 69.38 89.86 89.56
Space group P-1 (No. 2)
Inequivalent atoms, fractional coordinates:
Cd: 0.002 0.104 0.283
In: 0.001 0.313 0.472
In: 0.001 0.487 0.152
In: 0.020 0.119 0.864
Hg: 0.494 0.627 0.327
Hg: 0.498 0.757 0.953
Hg: 0.500 0.000 0.500

---

# MnGe2PbS6
Calculated X-ray powder pattern, Cu Kα (λ = 1.5418 Å). Input: a DFT-relaxed cell (PBE, Alexandria).
Peak positions follow from Bragg's law for the DFT cell and can differ from measured ones.

Principal peaks in the range 2θ = 10–90°, most intense first:
2θ 21.77, I 1000, hkl 2 2 -1; 2θ 23.29, I 908, hkl 3 1 0; 2θ 10.25, I 760, hkl 1 1 0; 2θ 25.32, I 538, hkl 1 3 -1; 2θ 27.55, I 527, hkl 2 2 1; 2θ 32.97, I 413, hkl 4 0 -2; 2θ 27.66, I 397, hkl 0 0 2; 2θ 27.02, I 386, hkl 1 1 -2; 2θ 19.10, I 379, hkl 1 1 1; 2θ 22.79, I 374, hkl 1 3 0

Structure:
Lattice parameters (Å, degrees): 12.832 12.375 6.871 90.00 110.13 90.00
Space group C2/c (No. 15)
Inequivalent atoms, fractional coordinates:
Mn: 0.000 0.226 0.250
Ge: 0.198 0.426 0.702
Pb: 0.000 0.126 0.750
S: 0.115 0.077 0.188
S: 0.133 0.264 0.578
S: 0.133 0.437 0.975